[1]
The following is a computed XRD peak list of LiLuPdAu. It was derived from a cell relaxed with GGA-PBE, using CuKα.
Neutral-atom scattering factors, no anomalous dispersion.

Structure:
a b c (Å): 4.4107 4.4107 8.9303
angles (deg): 90.00 90.00 120.00
Positions (direct):
Li: 0.0000 0.0000 0.0000
Li: 0.0000 0.0000 0.5000
Lu: 0.3333 0.6667 0.2560
Lu: 0.6667 0.3333 0.7560
Pd: 0.3333 0.6667 0.9140
Pd: 0.6667 0.3333 0.4140
Au: 0.3333 0.6667 0.5887
Au: 0.6667 0.3333 0.0887

Principal peaks in the range 10 to 80 degrees two-theta, in order of rising 2θ:
Position (°2θ)  d_spacing  I_rel
23.29  3.820  58
25.36  3.512  8
38.34  2.348  100
40.92  2.205  57
47.61  1.910  9
57.32  1.607  31
64.55  1.444  7
72.81  1.299  31
74.53  1.273  10
77.35  1.234  17



[2]
The following is a computed XRD peak list of Li2Lu2Pd3Au. It was derived from a cell relaxed with GGA-PBE, using CuKα.
Neutral-atom scattering factors, no anomalous dispersion.

Structure:
a b c (Å): 4.3822 4.3822 8.8177
angles (deg): 90.00 90.00 120.00
Positions (direct):
Li: 0.0000 0.0000 0.0000
Li: 0.0000 0.0000 0.4920
Lu: 0.3333 0.6667 0.2443
Lu: 0.6667 0.3333 0.7551
Pd: 0.3333 0.6667 0.9115
Pd: 0.6667 0.3333 0.0857
Pd: 0.6667 0.3333 0.4090
Au: 0.3333 0.6667 0.5840

Principal peaks in the range 10 to 80 degrees two-theta, in order of rising 2θ:
Position (°2θ)  d_spacing  I_rel
23.44  3.795  61
38.75  2.324  100
41.20  2.191  58
47.94  1.898  9
57.84  1.594  31
65.02  1.434  7
68.46  1.370  7
73.46  1.289  31
75.09  1.265  10
78.34  1.221  16



[3]
The following is a computed XRD peak list of Li4Mg2PdAu. It was derived from a cell relaxed with GGA-PBE, using CuKα.
Neutral-atom scattering factors, no anomalous dispersion.

Structure:
a b c (Å): 4.4838 4.4838 6.3731
angles (deg): 90.00 90.00 90.00
Positions (direct):
Li: 0.0000 0.0000 0.0000
Li: 0.0000 0.5000 0.2468
Li: 0.5000 0.0000 0.7532
Li: 0.5000 0.5000 0.5000
Mg: 0.0000 0.5000 0.7595
Mg: 0.5000 0.0000 0.2405
Pd: 0.5000 0.5000 0.0000
Au: 0.0000 0.0000 0.5000

Principal peaks in the range 10 to 80 degrees two-theta, in order of rising 2θ:
Position (°2θ)  d_spacing  I_rel
24.27  3.667  100
28.00  3.187  13
28.15  3.171  25
40.12  2.248  43
40.23  2.242  21
47.35  1.920  17
47.54  1.913  33
49.73  1.834  11
63.83  1.458  14
73.04  1.295  15



[4]
The following is a computed XRD peak list of Li2Mg2Tl2PtAu. It was derived from a cell relaxed with GGA-PBE, using CuKα.
Neutral-atom scattering factors, no anomalous dispersion.

Structure:
a b c (Å): 4.6946 4.6946 6.6816
angles (deg): 90.00 90.00 90.00
Positions (direct):
Li: 0.0000 0.0000 0.0000
Li: 0.5000 0.5000 0.5000
Mg: 0.0000 0.5000 0.2418
Mg: 0.5000 0.0000 0.7582
Tl: 0.0000 0.5000 0.7587
Tl: 0.5000 0.0000 0.2413
Pt: 0.5000 0.5000 0.0000
Au: 0.0000 0.0000 0.5000

Principal peaks in the range 10 to 80 degrees two-theta, in order of rising 2θ:
Position (°2θ)  d_spacing  I_rel
23.16  3.841  100
38.22  2.355  76
38.35  2.347  38
45.05  2.012  18
45.27  2.003  35
55.35  1.660  13
60.61  1.528  15
69.01  1.361  13
69.26  1.357  27
74.20  1.278  8



[5]
The following is a computed XRD peak list of LiMg2ZnAu4. It was derived from a cell relaxed with GGA-PBE, using CuKα.
Neutral-atom scattering factors, no anomalous dispersion.

Structure:
a b c (Å): 4.5674 4.5674 6.4530
angles (deg): 90.00 90.00 90.00
Positions (direct):
Li: 0.0000 0.0000 0.0000
Mg: 0.0000 0.0000 0.5000
Mg: 0.5000 0.5000 0.0000
Zn: 0.5000 0.5000 0.5000
Au: 0.0000 0.5000 0.2493
Au: 0.0000 0.5000 0.7507
Au: 0.5000 0.0000 0.2493
Au: 0.5000 0.0000 0.7507

Principal peaks in the range 10 to 80 degrees two-theta, in order of rising 2θ:
Position (°2θ)  d_spacing  I_rel
13.72  6.453  1
19.43  4.567  1
27.63  3.229  65
30.96  2.888  1
34.02  2.635  1
39.47  2.283  100
48.86  1.864  19
57.05  1.614  17
64.54  1.444  26
71.59  1.318  35



[6]
The following is a computed XRD peak list of LiNbAuSe2S. It was derived from a cell relaxed with GGA-PBE, using CuKα.
Neutral-atom scattering factors, no anomalous dispersion.

Structure:
a b c (Å): 6.8831 6.8831 9.9374
angles (deg): 90.00 90.00 149.98
Positions (direct):
Li: 0.2466 0.7534 0.7500
Li: 0.7534 0.2466 0.2500
Nb: 0.5000 0.5000 0.0000
Nb: 0.5000 0.5000 0.5000
Au: 0.0582 0.9418 0.2500
Au: 0.9418 0.0582 0.7500
Se: 0.1460 0.8540 0.0290
Se: 0.1460 0.8540 0.4710
Se: 0.8540 0.1460 0.5290
Se: 0.8540 0.1460 0.9710
S: 0.4114 0.5886 0.2500
S: 0.5886 0.4114 0.7500

Principal peaks in the range 10 to 80 degrees two-theta, in order of rising 2θ:
Position (°2θ)  d_spacing  I_rel
13.32  6.648  100
16.04  5.526  47
25.88  3.443  23
31.61  2.830  30
33.50  2.675  51
36.16  2.484  41
37.08  2.425  81
42.46  2.129  22
44.78  2.024  28
50.95  1.792  24



[7]
The following is a computed XRD peak list of LiNiTe2AuSe. It was derived from a cell relaxed with GGA-PBE, using CuKα.
Neutral-atom scattering factors, no anomalous dispersion.

Structure:
a b c (Å): 6.8092 6.8092 10.4633
angles (deg): 90.00 90.00 147.86
Positions (direct):
Li: 0.2186 0.7814 0.7500
Li: 0.7814 0.2186 0.2500
Ni: 0.5000 0.5000 0.0000
Ni: 0.5000 0.5000 0.5000
Te: 0.1319 0.8681 0.0005
Te: 0.1319 0.8681 0.4995
Te: 0.8681 0.1319 0.9995
Te: 0.8681 0.1319 0.5005
Au: 0.1303 0.8697 0.2500
Au: 0.8697 0.1303 0.7500
Se: 0.4428 0.5572 0.2500
Se: 0.5572 0.4428 0.7500

Principal peaks in the range 10 to 80 degrees two-theta, in order of rising 2θ:
Position (°2θ)  d_spacing  I_rel
15.98  5.548  47
26.03  3.423  43
27.26  3.272  45
31.36  2.852  100
32.54  2.752  35
34.28  2.616  68
44.34  2.043  24
47.14  1.928  64
48.29  1.885  26
60.55  1.529  26



[8]
The following is a computed XRD peak list of Li3AuO4. It was derived from a cell relaxed with GGA-PBE, using CuKα.
Neutral-atom scattering factors, no anomalous dispersion.

Structure:
a b c (Å): 5.0959 5.9833 5.2084
angles (deg): 90.00 109.77 90.00
Positions (direct):
Li: 0.0000 0.0968 0.2500
Li: 0.0000 0.3536 0.7500
Li: 0.0000 0.6464 0.2500
Li: 0.0000 0.9032 0.7500
Li: 0.5000 0.1085 0.7500
Li: 0.5000 0.8915 0.2500
Au: 0.5000 0.3685 0.2500
Au: 0.5000 0.6315 0.7500
O: 0.2519 0.1360 0.0131
O: 0.2519 0.8640 0.5131
O: 0.2629 0.3834 0.4959
O: 0.2629 0.6166 0.9959
O: 0.7371 0.3834 0.0041
O: 0.7371 0.6166 0.5041
O: 0.7481 0.1360 0.4869
O: 0.7481 0.8640 0.9869

Principal peaks in the range 10 to 80 degrees two-theta, in order of rising 2θ:
Position (°2θ)  d_spacing  I_rel
14.81  5.983  74
18.50  4.796  100
23.46  3.792  62
23.78  3.742  52
25.86  3.445  51
33.75  2.655  24
35.03  2.561  21
35.14  2.554  40
36.85  2.439  21
42.95  2.106  71



[9]
The following is a computed XRD peak list of Li2Au2O5. It was derived from a cell relaxed with GGA-PBE, using CuKα.
Neutral-atom scattering factors, no anomalous dispersion.

Structure:
a b c (Å): 3.8444 3.8444 7.8583
angles (deg): 90.00 90.00 90.00
Positions (direct):
Li: 0.0000 0.0000 0.0000
Li: 0.0000 0.0000 0.5000
Au: 0.5000 0.5000 0.2297
Au: 0.5000 0.5000 0.7703
O: 0.0000 0.5000 0.1673
O: 0.0000 0.5000 0.8327
O: 0.5000 0.0000 0.1673
O: 0.5000 0.0000 0.8327
O: 0.5000 0.5000 0.5000

Principal peaks in the range 10 to 80 degrees two-theta, in order of rising 2θ:
Position (°2θ)  d_spacing  I_rel
22.63  3.929  50
23.14  3.844  100
32.59  2.748  75
32.95  2.718  32
40.35  2.236  32
47.29  1.922  22
52.29  1.749  17
53.04  1.727  20
53.28  1.719  21
58.61  1.575  29



[10]
The following is a computed XRD peak list of Li6Au2O7. It was derived from a cell relaxed with GGA-PBE, using CuKα.
Neutral-atom scattering factors, no anomalous dispersion.

Structure:
a b c (Å): 5.2229 5.2884 5.8442
angles (deg): 89.77 71.96 82.40
Positions (direct):
Li: 0.1969 0.3793 0.3075
Li: 0.2198 0.9229 0.5624
Li: 0.2252 0.3702 0.8355
Li: 0.7748 0.6298 0.1645
Li: 0.7802 0.0771 0.4376
Li: 0.8031 0.6207 0.6925
Au: 0.2536 0.8652 0.0636
Au: 0.7464 0.1348 0.9364
O: 0.0108 0.7387 0.3693
O: 0.0453 0.7367 0.8608
O: 0.4929 0.9982 0.2476
O: 0.5000 0.5000 0.0000
O: 0.5071 0.0018 0.7524
O: 0.9547 0.2633 0.1392
O: 0.9892 0.2613 0.6307

Principal peaks in the range 10 to 80 degrees two-theta, in order of rising 2θ:
Position (°2θ)  d_spacing  I_rel
15.96  5.552  100
16.93  5.238  46
23.04  3.861  22
23.81  3.738  31
26.51  3.362  24
27.55  3.238  26
30.93  2.891  23
36.56  2.458  19
41.23  2.190  19
42.80  2.113  22



[11]
The following is a computed XRD peak list of Li5AuO4. It was derived from a cell relaxed with GGA-PBE, using CuKα.
Neutral-atom scattering factors, no anomalous dispersion.

Structure:
a b c (Å): 5.1560 3.3200 5.3389
angles (deg): 90.00 93.54 90.00
Positions (direct):
Li: 0.0000 0.0000 0.0000
Li: 0.3473 0.5000 0.1577
Li: 0.3646 0.0000 0.6693
Li: 0.6354 0.0000 0.3307
Li: 0.6527 0.5000 0.8423
Au: 0.0000 0.5000 0.5000
O: 0.2493 0.5000 0.8122
O: 0.2589 0.0000 0.3072
O: 0.7411 0.0000 0.6928
O: 0.7507 0.5000 0.1878

Principal peaks in the range 10 to 80 degrees two-theta, in order of rising 2θ:
Position (°2θ)  d_spacing  I_rel
16.64  5.329  100
17.23  5.146  90
23.28  3.821  47
24.78  3.593  41
26.85  3.320  34
31.76  2.818  34
32.08  2.790  45
35.83  2.506  58
36.86  2.438  21
47.04  1.932  24



[12]
The following is a computed XRD peak list of LiOsAu3O4. It was derived from a cell relaxed with GGA-PBE, using CuKα.
Neutral-atom scattering factors, no anomalous dispersion.

Structure:
a b c (Å): 5.2033 5.2033 5.2033
angles (deg): 90.00 90.00 90.00
Positions (direct):
Li: 0.0000 0.0000 0.0000
Os: 0.5000 0.5000 0.5000
Au: 0.0000 0.5000 0.5000
Au: 0.5000 0.0000 0.5000
Au: 0.5000 0.5000 0.0000
O: 0.2360 0.2360 0.2360
O: 0.2360 0.7640 0.7640
O: 0.7640 0.2360 0.7640
O: 0.7640 0.7640 0.2360

Principal peaks in the range 10 to 80 degrees two-theta, in order of rising 2θ:
Position (°2θ)  d_spacing  I_rel
17.04  5.203  100
29.74  3.004  45
34.47  2.602  68
38.70  2.327  57
49.55  1.840  68
52.78  1.734  29
58.86  1.569  20
61.76  1.502  18
64.58  1.443  12
75.31  1.262  17



[13]
The following is a computed XRD peak list of Li4PaAuO6. It was derived from a cell relaxed with GGA-PBE, using CuKα.
Neutral-atom scattering factors, no anomalous dispersion.

Structure:
a b c (Å): 5.4443 5.4443 5.2972
angles (deg): 98.92 98.92 120.67
Positions (direct):
Li: 0.0000 0.0000 0.0000
Li: 0.1635 0.8365 0.5000
Li: 0.4744 0.5256 0.5000
Li: 0.8640 0.1360 0.5000
Pa: 0.6656 0.3344 0.0000
Au: 0.3317 0.6683 0.0000
O: 0.0741 0.4096 0.2570
O: 0.2488 0.2457 0.7474
O: 0.4040 0.0845 0.2514
O: 0.5904 0.9259 0.7430
O: 0.7543 0.7512 0.2526
O: 0.9155 0.5960 0.7486

Principal peaks in the range 10 to 80 degrees two-theta, in order of rising 2θ:
Position (°2θ)  d_spacing  I_rel
17.63  5.031  100
18.76  4.731  22
19.72  4.501  38
22.59  3.937  29
25.85  3.446  22
33.37  2.685  44
33.97  2.639  22
35.21  2.549  26
35.73  2.513  22
40.61  2.222  50



[14]
The following is a computed XRD peak list of LiReAu3O4. It was derived from a cell relaxed with GGA-PBE, using CuKα.
Neutral-atom scattering factors, no anomalous dispersion.

Structure:
a b c (Å): 5.6723 5.6723 5.6723
angles (deg): 90.00 90.00 90.00
Positions (direct):
Li: 0.0000 0.0000 0.0000
Re: 0.5000 0.5000 0.5000
Au: 0.0000 0.5000 0.5000
Au: 0.5000 0.0000 0.5000
Au: 0.5000 0.5000 0.0000
O: 0.3026 0.3026 0.3026
O: 0.3026 0.6974 0.6974
O: 0.6974 0.3026 0.6974
O: 0.6974 0.6974 0.3026

Principal peaks in the range 10 to 80 degrees two-theta, in order of rising 2θ:
Position (°2θ)  d_spacing  I_rel
15.62  5.672  100
27.23  3.275  40
31.55  2.836  63
35.38  2.537  45
45.21  2.005  60
48.12  1.891  26
53.59  1.710  19
56.17  1.637  18
68.16  1.376  14
74.86  1.268  25